Record 1
# Ba4MgRh4O12
Computed powder diffractogram, Cu Kα, 1.54184 Å. Input: the GGA-PBE geometry in the Materials Project.

Peak list (10 most intense, 2θ from 15° to 90°, sorted by position)
hkl 1 0 2, 2θ 24.8, intensity 22.8; hkl 1 1 0, 2θ 30.6, intensity 100.0; hkl 0 1 3, 2θ 31.7, intensity 70.7; hkl 0 2 2, 2θ 39.8, intensity 20.7; hkl 2 0 3, 2θ 44.6, intensity 37.3; hkl 1 0 5, 2θ 48.0, intensity 12.4; hkl 3 0 0, 2θ 54.4, intensity 19.6; hkl 1 2 3, 2θ 55.1, intensity 31.2; hkl 2 2 0, 2θ 63.8, intensity 18.3; hkl 3 1 3, 2θ 72.9, intensity 13.1

```
data_Ba4MgRh4O12
_symmetry_space_group_name_H-M 'P 3 m 1'
_symmetry_Int_Tables_number 156
_symmetry_space_group_name_Hall 'P 3 -2"'
_cell_length_a 5.8396
_cell_length_b 5.8396
_cell_length_c 10.2111
_cell_angle_alpha 90.00
_cell_angle_beta 90.00
_cell_angle_gamma 120.00
loop_
_atom_site_label
_atom_site_type_symbol
_atom_site_fract_x
_atom_site_fract_y
_atom_site_fract_z
_atom_site_occupancy
Ba1 Ba 0.0000 0.0000 0.0000 1
Ba2 Ba 0.0000 0.0000 0.3912 1
Ba3 Ba 0.3333 0.6667 0.1948 1
Ba4 Ba 0.6667 0.3333 0.6949 1
Mg1 Mg 0.0000 0.0000 0.6961 1
Rh1 Rh 0.3333 0.6667 0.5529 1
Rh2 Rh 0.3333 0.6667 0.8361 1
Rh3 Rh 0.6667 0.3333 0.0615 1
Rh4 Rh 0.6667 0.3333 0.3281 1
O1 O 0.1843 0.3686 0.6944 1
O2 O 0.3613 0.1806 0.1949 1
O3 O 0.5039 0.0078 0.4493 1
O4 O 0.5040 0.0081 0.9398 1
```



Record 2
# Ba4MgRh4O12
Computed powder diffractogram, Cu Kα, 1.54184 Å. Input: the GGA-PBE geometry in the Materials Project.

Peak list (10 most intense, 2θ from 15° to 90°, sorted by position)
hkl 1 1 -2, 2θ 24.1, intensity 48.2; hkl 1 1 2, 2θ 26.0, intensity 42.3; hkl 2 0 -3, 2θ 29.2, intensity 45.3; hkl 3 1 0, 2θ 29.9, intensity 100.0; hkl 3 1 -1, 2θ 30.0, intensity 77.7; hkl 0 2 0, 2θ 31.3, intensity 91.4; hkl 1 1 3, 2θ 33.2, intensity 57.7; hkl 2 2 2, 2θ 41.3, intensity 28.5; hkl 2 2 -3, 2θ 43.3, intensity 56.5; hkl 3 3 0, 2θ 54.9, intensity 32.7

```
data_Ba4MgRh4O12
_symmetry_space_group_name_H-M 'C 1 m 1'
_symmetry_Int_Tables_number 8
_symmetry_space_group_name_Hall 'C -2y'
_cell_length_a 10.660
_cell_length_b 5.717
_cell_length_c 10.207
_cell_angle_alpha 90.00
_cell_angle_beta 98.97
_cell_angle_gamma 90.00
loop_
_atom_site_label
_atom_site_type_symbol
_atom_site_fract_x
_atom_site_fract_y
_atom_site_fract_z
_atom_site_occupancy
Ba1 Ba 0.000 0.000 0.000 1
Ba2 Ba 0.041 0.500 0.339 1
Ba3 Ba 0.283 0.000 0.791 1
Ba4 Ba 0.418 0.500 0.571 1
Mg1 Mg 0.264 0.500 0.188 1
Rh1 Rh 0.099 0.500 0.663 1
Rh2 Rh 0.165 0.500 0.931 1
Rh3 Rh 0.240 0.000 0.440 1
Rh4 Rh 0.272 0.000 0.172 1
O1 O 0.059 0.268 0.804 1
O2 O 0.075 0.500 0.089 1
O3 O 0.116 0.000 0.266 1
O4 O 0.137 0.234 0.540 1
O5 O 0.271 0.500 0.775 1
O6 O 0.284 0.261 0.040 1
O7 O 0.317 0.246 0.325 1
O8 O 0.403 0.000 0.582 1
```



Record 3
# Ba4MgRh4O12
Computed powder diffractogram, Cu Kα, 1.54184 Å. Input: the GGA-PBE geometry in the Materials Project.

Peak list (10 most intense, 2θ from 15° to 90°, sorted by position)
hkl 1 0 2, 2θ 24.2, intensity 39.5; hkl 0 1 3, 2θ 30.5, intensity 43.9; hkl 1 1 0, 2θ 31.0, intensity 100.0; hkl 0 1 4, 2θ 37.8, intensity 23.2; hkl 0 2 2, 2θ 39.7, intensity 26.9; hkl 2 0 3, 2θ 44.1, intensity 24.3; hkl 2 0 4, 2θ 49.6, intensity 13.7; hkl 1 2 3, 2θ 54.8, intensity 18.4; hkl 3 0 0, 2θ 55.1, intensity 19.4; hkl 2 2 0, 2θ 64.6, intensity 17.8

```
data_Ba4MgRh4O12
_symmetry_space_group_name_H-M 'P 3 m 1'
_symmetry_Int_Tables_number 156
_symmetry_space_group_name_Hall 'P 3 -2"'
_cell_length_a 5.7724
_cell_length_b 5.7724
_cell_length_c 10.8418
_cell_angle_alpha 90.00
_cell_angle_beta 90.00
_cell_angle_gamma 120.00
loop_
_atom_site_label
_atom_site_type_symbol
_atom_site_fract_x
_atom_site_fract_y
_atom_site_fract_z
_atom_site_occupancy
Ba1 Ba 0.0000 0.0000 0.0000 1
Ba2 Ba 0.0000 0.0000 0.4195 1
Ba3 Ba 0.3333 0.6667 0.7936 1
Ba4 Ba 0.6667 0.3333 0.1953 1
Mg1 Mg 0.3333 0.6667 0.5436 1
Rh1 Rh 0.3333 0.6667 0.0700 1
Rh2 Rh 0.3333 0.6667 0.3207 1
Rh3 Rh 0.6667 0.3333 0.5761 1
Rh4 Rh 0.6667 0.3333 0.8378 1
O1 O 0.0033 0.5016 0.4543 1
O2 O 0.1815 0.3631 0.1984 1
O3 O 0.3766 0.1883 0.7078 1
O4 O 0.5073 0.0146 0.9689 1
```



Record 4
# Ba4MgRh4O12
Computed powder diffractogram, Cu Kα, 1.54184 Å. Input: the GGA-PBE geometry in the Materials Project.

Peak list (10 most intense, 2θ from 15° to 90°, sorted by position)
hkl 0 1 -2, 2θ 24.5, intensity 37.7; hkl 1 1 -2, 2θ 24.7, intensity 49.9; hkl 1 2 0, 2θ 29.5, intensity 85.7; hkl -1 1 1, 2θ 30.5, intensity 83.4; hkl 2 1 0, 2θ 30.6, intensity 91.9; hkl 1 1 3, 2θ 31.2, intensity 100.0; hkl 1 0 3, 2θ 31.7, intensity 30.6; hkl 1 2 2, 2θ 33.9, intensity 24.6; hkl 2 0 2, 2θ 39.6, intensity 38.5; hkl 2 0 3, 2θ 44.5, intensity 29.1

```
data_Ba4MgRh4O12
_symmetry_space_group_name_H-M 'P 1'
_symmetry_Int_Tables_number 1
_symmetry_space_group_name_Hall 'P 1'
_cell_length_a 5.842
_cell_length_b 6.071
_cell_length_c 10.289
_cell_angle_alpha 88.23
_cell_angle_beta 89.97
_cell_angle_gamma 61.26
loop_
_atom_site_label
_atom_site_type_symbol
_atom_site_fract_x
_atom_site_fract_y
_atom_site_fract_z
_atom_site_occupancy
Ba1 Ba 0.000 0.000 0.000 1
Ba2 Ba 0.048 0.903 0.432 1
Ba3 Ba 0.358 0.284 0.193 1
Ba4 Ba 0.755 0.491 0.635 1
Mg1 Mg 0.473 0.054 0.773 1
Rh1 Rh 0.242 0.517 0.830 1
Rh2 Rh 0.381 0.237 0.524 1
Rh3 Rh 0.686 0.628 0.041 1
Rh4 Rh 0.698 0.603 0.308 1
O1 O 0.001 0.454 0.926 1
O2 O 0.027 0.451 0.421 1
O3 O 0.228 0.544 0.646 1
O4 O 0.234 0.063 0.637 1
O5 O 0.398 0.747 0.176 1
O6 O 0.518 0.963 0.952 1
O7 O 0.522 0.953 0.395 1
O8 O 0.524 0.449 0.420 1
O9 O 0.545 0.453 0.926 1
O10 O 0.703 0.062 0.637 1
O11 O 0.841 0.319 0.183 1
O12 O 0.854 0.748 0.176 1
```



Record 5
# Ba2YMgRuO6
Computed powder diffractogram, Cu Kα, 1.54184 Å. Input: the GGA-PBE geometry in the Materials Project.

Peak list (10 most intense, 2θ from 15° to 90°, sorted by position)
hkl 1 1 2, 2θ 28.5, intensity 100.0; hkl 0 2 0, 2θ 29.2, intensity 44.5; hkl 2 0 0, 2θ 30.2, intensity 41.3; hkl 0 1 3, 2θ 32.5, intensity 23.3; hkl 1 0 3, 2θ 32.7, intensity 25.1; hkl 2 2 0, 2θ 42.5, intensity 51.8; hkl 1 2 3, 2θ 44.4, intensity 27.7; hkl 2 1 3, 2θ 44.9, intensity 17.7; hkl 1 3 2, 2θ 51.4, intensity 19.8; hkl 3 1 2, 2θ 52.6, intensity 18.5

```
data_Ba2YMgRuO6
_symmetry_space_group_name_H-M 'I m m m'
_symmetry_Int_Tables_number 71
_symmetry_space_group_name_Hall '-I 2 2'
_cell_length_a 5.920
_cell_length_b 6.109
_cell_length_c 9.276
_cell_angle_alpha 90.00
_cell_angle_beta 90.00
_cell_angle_gamma 90.00
loop_
_atom_site_label
_atom_site_type_symbol
_atom_site_fract_x
_atom_site_fract_y
_atom_site_fract_z
_atom_site_occupancy
Ba1 Ba 0.000 0.000 0.190 1
Y1 Y 0.000 0.500 0.000 1
Mg1 Mg 0.000 0.000 0.500 1
Ru1 Ru 0.000 0.500 0.500 1
O1 O 0.000 0.500 0.265 1
O2 O 0.229 0.243 0.500 1
```



Record 6
# Ba2YMgRuO6
Computed powder diffractogram, Cu Kα, 1.54184 Å. Input: the GGA-PBE geometry in the Materials Project.

Peak list (10 most intense, 2θ from 15° to 90°, sorted by position)
hkl 1 1 1, 2θ 27.3, intensity 40.9; hkl 2 0 -2, 2θ 27.4, intensity 20.4; hkl 0 2 0, 2θ 29.9, intensity 100.0; hkl 2 0 1, 2θ 31.7, intensity 28.6; hkl 2 2 -2, 2θ 41.0, intensity 38.1; hkl 0 2 2, 2θ 44.3, intensity 19.8; hkl 1 3 1, 2θ 51.5, intensity 14.7; hkl 3 3 -1, 2θ 53.1, intensity 19.8; hkl 3 1 2, 2θ 58.1, intensity 12.3; hkl 0 4 0, 2θ 62.2, intensity 18.6

```
data_Ba2YMgRuO6
_symmetry_space_group_name_H-M 'C 1 m 1'
_symmetry_Int_Tables_number 8
_symmetry_space_group_name_Hall 'C -2y'
_cell_length_a 10.332
_cell_length_b 5.975
_cell_length_c 6.572
_cell_angle_alpha 90.00
_cell_angle_beta 121.35
_cell_angle_gamma 90.00
loop_
_atom_site_label
_atom_site_type_symbol
_atom_site_fract_x
_atom_site_fract_y
_atom_site_fract_z
_atom_site_occupancy
Ba1 Ba 0.000 0.000 0.000 1
Ba2 Ba 0.042 0.500 0.623 1
Y1 Y 0.293 0.500 0.376 1
Mg1 Mg 0.175 0.000 0.517 1
Ru1 Ru 0.321 0.000 0.961 1
O1 O 0.046 0.500 0.172 1
O2 O 0.062 0.000 0.673 1
O3 O 0.308 0.245 0.675 1
O4 O 0.312 0.232 0.171 1
```



Record 7
# Ba2YMgRuO6
Computed powder diffractogram, Cu Kα, 1.54184 Å. Input: the GGA-PBE geometry in the Materials Project.

Peak list (10 most intense, 2θ from 15° to 90°, sorted by position)
hkl 1 1 1, 2θ 26.4, intensity 50.1; hkl 0 2 0, 2θ 28.9, intensity 71.4; hkl 2 0 1, 2θ 29.6, intensity 38.8; hkl 3 1 -1, 2θ 30.7, intensity 100.0; hkl 2 0 -2, 2θ 31.7, intensity 26.6; hkl 1 1 -2, 2θ 34.5, intensity 55.2; hkl 2 2 1, 2θ 41.9, intensity 40.6; hkl 2 2 -2, 2θ 43.4, intensity 39.4; hkl 5 1 0, 2θ 50.7, intensity 31.8; hkl 3 1 2, 2θ 54.9, intensity 27.5

```
data_Ba2YMgRuO6
_symmetry_space_group_name_H-M 'C 1 m 1'
_symmetry_Int_Tables_number 8
_symmetry_space_group_name_Hall 'C -2y'
_cell_length_a 10.157
_cell_length_b 6.185
_cell_length_c 5.761
_cell_angle_alpha 90.00
_cell_angle_beta 112.05
_cell_angle_gamma 90.00
loop_
_atom_site_label
_atom_site_type_symbol
_atom_site_fract_x
_atom_site_fract_y
_atom_site_fract_z
_atom_site_occupancy
Ba1 Ba 0.000 0.000 0.000 1
Ba2 Ba 0.112 0.500 0.716 1
Y1 Y 0.365 0.000 0.014 1
Mg1 Mg 0.237 0.000 0.455 1
Ru1 Ru 0.310 0.500 0.402 1
O1 O 0.035 0.000 0.507 1
O2 O 0.082 0.500 0.252 1
O3 O 0.264 0.231 0.171 1
O4 O 0.338 0.237 0.684 1
```



Record 8
# BaMgSb2O6
Computed powder diffractogram, Cu Kα, 1.54184 Å. Input: the GGA-PBE geometry in the Materials Project.

Peak list (10 most intense, 2θ from 15° to 90°, sorted by position)
hkl 1 0 1, 2θ 23.0, intensity 100.0; hkl 0 0 2, 2θ 27.8, intensity 23.7; hkl 1 1 0, 2θ 31.9, intensity 51.6; hkl 2 0 1, 2θ 39.7, intensity 24.3; hkl 1 1 2, 2θ 42.9, intensity 69.5; hkl 1 0 3, 2θ 46.4, intensity 15.4; hkl 3 -1 1, 2θ 51.9, intensity 22.0; hkl 3 0 0, 2θ 56.9, intensity 18.6; hkl 3 0 2, 2θ 64.5, intensity 13.9; hkl 2 -1 4, 2θ 67.3, intensity 26.9

```
data_BaMgSb2O6
_symmetry_space_group_name_H-M 'P -3 1 m'
_symmetry_Int_Tables_number 162
_symmetry_space_group_name_Hall '-P 3 2'
_cell_length_a 5.6029
_cell_length_b 5.6029
_cell_length_c 6.4105
_cell_angle_alpha 90.00
_cell_angle_beta 90.00
_cell_angle_gamma 120.00
loop_
_atom_site_label
_atom_site_type_symbol
_atom_site_fract_x
_atom_site_fract_y
_atom_site_fract_z
_atom_site_occupancy
Ba1 Ba 0.0000 0.0000 0.0000 1
Mg1 Mg 0.0000 0.0000 0.5000 1
Sb1 Sb 0.3333 0.6667 0.5000 1
O1 O 0.0000 0.3297 0.3285 1
```



Record 9
# Ba3MgSb2O9
Computed powder diffractogram, Cu Kα, 1.54184 Å. Input: the GGA-PBE geometry in the Materials Project.

Peak list (10 most intense, 2θ from 15° to 90°, sorted by position)
hkl 1 0 3, 2θ 25.1, intensity 17.5; hkl 1 0 4, 2θ 29.9, intensity 50.5; hkl 1 1 0, 2θ 30.1, intensity 100.0; hkl 1 0 5, 2θ 35.2, intensity 25.8; hkl 2 0 4, 2θ 43.0, intensity 31.7; hkl 2 0 5, 2θ 47.0, intensity 16.9; hkl 2 1 4, 2θ 53.4, intensity 19.9; hkl 3 0 0, 2θ 53.5, intensity 19.9; hkl 2 2 0, 2θ 62.6, intensity 19.3; hkl 4 1 0, 2θ 86.8, intensity 16.1

```
data_Ba3MgSb2O9
_symmetry_space_group_name_H-M 'P 63/m m c'
_symmetry_Int_Tables_number 194
_symmetry_space_group_name_Hall '-P 6c 2c'
_cell_length_a 5.9339
_cell_length_b 5.9339
_cell_length_c 14.6584
_cell_angle_alpha 90.00
_cell_angle_beta 90.00
_cell_angle_gamma 120.00
loop_
_atom_site_label
_atom_site_type_symbol
_atom_site_fract_x
_atom_site_fract_y
_atom_site_fract_z
_atom_site_occupancy
Ba1 Ba 0.0000 0.0000 0.2500 1
Ba2 Ba 0.3333 0.6667 0.0879 1
Mg1 Mg 0.0000 0.0000 0.0000 1
Sb1 Sb 0.3333 0.6667 0.6515 1
O1 O 0.0367 0.5183 0.7500 1
O2 O 0.1691 0.3382 0.5837 1
```



Record 10
# BaMgSb2O6
Computed powder diffractogram, Cu Kα, 1.54184 Å. Input: the GGA-PBE geometry in the Materials Project.

Peak list (10 most intense, 2θ from 15° to 90°, sorted by position)
hkl 0 2 1, 2θ 24.0, intensity 100.0; hkl 2 0 0, 2θ 30.7, intensity 57.9; hkl 0 0 2, 2θ 32.7, intensity 11.5; hkl 2 2 1, 2θ 39.4, intensity 25.5; hkl 1 3 2, 2θ 45.5, intensity 57.1; hkl 1 5 1, 2θ 50.7, intensity 26.3; hkl 0 2 3, 2θ 53.4, intensity 10.4; hkl 3 3 0, 2θ 54.6, intensity 16.8; hkl 0 6 2, 2θ 65.1, intensity 13.5; hkl 3 5 -1, 2θ 69.4, intensity 10.4

```
data_BaMgSb2O6
_symmetry_space_group_name_H-M 'C 1 2 1'
_symmetry_Int_Tables_number 5
_symmetry_space_group_name_Hall 'C 2y'
_cell_length_a 5.822
_cell_length_b 10.082
_cell_length_c 5.474
_cell_angle_alpha 90.00
_cell_angle_beta 90.08
_cell_angle_gamma 90.00
loop_
_atom_site_label
_atom_site_type_symbol
_atom_site_fract_x
_atom_site_fract_y
_atom_site_fract_z
_atom_site_occupancy
Ba1 Ba 0.000 0.000 0.000 1
Mg1 Mg 0.000 0.666 0.000 1
Sb1 Sb 0.000 0.333 0.500 1
Sb2 Sb 0.000 0.667 0.500 1
O1 O 0.107 0.523 0.731 1
O2 O 0.163 0.792 0.731 1
O3 O 0.230 0.186 0.730 1
```



Record 11
# Ba2SmMgSbO6
Computed powder diffractogram, Cu Kα, 1.54184 Å. Input: the GGA-PBE geometry in the Materials Project.

Peak list (10 most intense, 2θ from 15° to 90°, sorted by position)
hkl 2 0 0, 2θ 17.0, intensity 66.9; hkl 1 1 1, 2θ 24.6, intensity 46.0; hkl 1 1 -2, 2θ 27.8, intensity 57.4; hkl 3 1 -2, 2θ 28.3, intensity 100.0; hkl 0 2 0, 2θ 28.5, intensity 46.2; hkl 2 2 0, 2θ 33.4, intensity 23.5; hkl 1 1 2, 2θ 36.7, intensity 20.4; hkl 4 2 -1, 2θ 40.7, intensity 35.1; hkl 3 3 -2, 2θ 50.4, intensity 20.5; hkl 7 1 -3, 2θ 52.3, intensity 18.6

```
data_Ba2SmMgSbO6
_symmetry_space_group_name_H-M 'C 1 m 1'
_symmetry_Int_Tables_number 8
_symmetry_space_group_name_Hall 'C -2y'
_cell_length_a 12.871
_cell_length_b 6.256
_cell_length_c 7.901
_cell_angle_alpha 90.00
_cell_angle_beta 125.75
_cell_angle_gamma 90.00
loop_
_atom_site_label
_atom_site_type_symbol
_atom_site_fract_x
_atom_site_fract_y
_atom_site_fract_z
_atom_site_occupancy
Ba1 Ba 0.000 0.000 0.000 1
Ba2 Ba 0.141 0.500 0.472 1
Sm1 Sm 0.474 0.000 0.780 1
Mg1 Mg 0.204 0.000 0.687 1
Sb1 Sb 0.435 0.500 0.459 1
O1 O 0.049 0.000 0.365 1
O2 O 0.050 0.219 0.669 1
O3 O 0.092 0.500 0.109 1
O4 O 0.322 0.235 0.732 1
```



Record 12
# Ba2SmMgSbO6
Computed powder diffractogram, Cu Kα, 1.54184 Å. Input: the GGA-PBE geometry in the Materials Project.

Peak list (10 most intense, 2θ from 15° to 90°, sorted by position)
hkl 1 1 2, 2θ 26.9, intensity 100.0; hkl 0 2 0, 2θ 28.2, intensity 37.5; hkl 2 0 0, 2θ 28.6, intensity 36.1; hkl 0 1 3, 2θ 30.4, intensity 18.9; hkl 1 0 3, 2θ 30.5, intensity 12.9; hkl 2 2 0, 2θ 40.6, intensity 42.7; hkl 2 1 3, 2θ 42.2, intensity 13.9; hkl 1 3 2, 2θ 49.1, intensity 20.0; hkl 3 1 2, 2θ 49.6, intensity 19.3; hkl 0 0 6, 2θ 55.4, intensity 18.0

```
data_Ba2SmMgSbO6
_symmetry_space_group_name_H-M 'I m m m'
_symmetry_Int_Tables_number 71
_symmetry_space_group_name_Hall '-I 2 2'
_cell_length_a 6.237
_cell_length_b 6.338
_cell_length_c 9.962
_cell_angle_alpha 90.00
_cell_angle_beta 90.00
_cell_angle_gamma 90.00
loop_
_atom_site_label
_atom_site_type_symbol
_atom_site_fract_x
_atom_site_fract_y
_atom_site_fract_z
_atom_site_occupancy
Ba1 Ba 0.000 0.000 0.192 1
Sm1 Sm 0.000 0.500 0.000 1
Mg1 Mg 0.000 0.000 0.500 1
Sb1 Sb 0.000 0.500 0.500 1
O1 O 0.000 0.500 0.246 1
O2 O 0.229 0.234 0.500 1
```